Record 1
# TmAsSe
Theoretical X-ray diffraction stick pattern, a wavelength of 1.5418 Å. Input: a structure optimized by DFT (GGA-PBE).

Most intense lines, 10° ≤ 2θ ≤ 90°, in order of falling intensity:
hkl  Position (°2θ)  I (rel.)
1 1 2  38.78  100
1 1 1  34.27  39
1 0 1  25.13  38
1 1 0  32.64  24
0 0 3  30.83  24
0 2 0  46.75  16

abc: 3.8734 3.8865 8.7023
angles: 90.00 90.00 90.00
Space group Pmmn (No. 59, origin choice 2)
Asymmetric unit:
Tm 0.2500 0.2500 0.2222 x2
As 0.2500 0.7500 0.4984 x2
Se 0.2500 0.2500 0.8762 x2

***

Record 2
# Sb2Se3
Theoretical X-ray diffraction stick pattern, a wavelength of 1.5418 Å. Input: a structure optimized by DFT (GGA-PBE).

Most intense lines, 10° ≤ 2θ ≤ 90°, in order of falling intensity:
hkl  Position (°2θ)  I (rel.)
2 0 2  18.17  100
2 1 0  27.23  74
0 1 5  38.10  51
0 2 0  47.79  45
1 0 2  13.64  45
0 1 1  24.10  44

abc: 12.8230 3.8084 15.0557
angles: 90.00 90.00 90.00
Space group Pnma (No. 62)
Asymmetric unit:
Sb 0.0149 0.2500 0.2386 x4
Sb 0.1871 0.2500 0.4427 x4
Se 0.0397 0.2500 0.6483 x4
Se 0.1789 0.2500 0.9826 x4
Se 0.2122 0.2500 0.2700 x4